Structure and computed XRD peak list of Pa2ZnPdN5 (DFT lattice parameters and positions (PBE); Cu Ka).
Lines closer than 0.1° are merged.

Largest 6 diffraction maxima, in order of rising 2θ, 2θ = 10–90°:
h k l, d/Å, I/Imax
1 1 0, 3.300, 48
0 2 3, 2.906, 100
0 4 2, 2.743, 74
1 1 2, 2.727, 66
1 3 0, 2.701, 81
1 1 3, 2.308, 88

Atomic structure:
```
data_Pa2ZnPdN5
_symmetry_space_group_name_H-M 'C m c 21'
_symmetry_Int_Tables_number 36
_cell_length_a 3.4059
_cell_length_b 13.3072
_cell_length_c 9.6904
_cell_angle_alpha 90.00
_cell_angle_beta 90.00
_cell_angle_gamma 90.00
loop_
_symmetry_equiv_pos_as_xyz
'x,y,z'
'-x,-y,z+1/2'
'-x,y,z'
'x,-y,z+1/2'
'x+1/2,y+1/2,z'
'-x+1/2,-y+1/2,z+1/2'
'-x+1/2,y+1/2,z'
'x+1/2,-y+1/2,z+1/2'
loop_
_atom_site_label
_atom_site_fract_x
_atom_site_fract_y
_atom_site_fract_z
Pa1 0.0000 0.1156 0.0000
Pa2 0.0000 0.1358 0.6089
Zn1 0.0000 0.4703 0.7892
Pd1 0.0000 0.2040 0.3161
N1 0.0000 0.0473 0.3842
N2 0.0000 0.2877 0.9762
N3 0.0000 0.3062 0.6444
N4 0.0000 0.3611 0.3157
N5 0.0000 0.4934 0.0910
```

=====

Structure and computed XRD peak list of PmPa3N4 (DFT lattice parameters and positions (PBE); Cu Ka).
Lines closer than 0.1° are merged.

Largest 6 diffraction maxima, in order of rising 2θ, 2θ = 10–90°:
h k l, d/Å, I/Imax
2 2 0, 2.876, 100
2 0 1, 2.491, 67
2 4 1, 1.761, 39
2 2 2, 1.503, 23
4 2 1, 1.501, 23
4 4 2, 1.114, 15

Atomic structure:
```
data_PmPa3N4
_symmetry_space_group_name_H-M 'C m m m'
_symmetry_Int_Tables_number 65
_symmetry_space_group_name_Hall '-C 2 2'
_cell_length_a 7.0339
_cell_length_b 9.9618
_cell_length_c 3.5292
_cell_angle_alpha 90.00
_cell_angle_beta 90.00
_cell_angle_gamma 90.00
loop_
_atom_site_label
_atom_site_fract_x
_atom_site_fract_y
_atom_site_fract_z
Pm1 0.0000 0.0000 0.0000
Pa1 0.0000 0.5000 0.0000
Pa2 0.2500 0.2500 0.5000
N1 0.0000 0.2554 0.0000
N2 0.2348 0.5000 0.5000
```

=====

Structure and computed XRD peak list of Pm4PaN5 (DFT lattice parameters and positions (PBE); Cu Ka).
Lines closer than 0.1° are merged.

Largest 6 diffraction maxima, in order of rising 2θ, 2θ = 10–90°:
h k l, d/Å, I/Imax
2 1 1, 2.927, 100
0 0 2, 2.535, 71
1 3 2, 1.793, 49
5 0 1, 1.529, 46
6 3 1, 1.163, 20
1 3 4, 1.134, 22

Atomic structure:
```
data_Pm4PaN5
_symmetry_space_group_name_H-M 'I 4/m'
_symmetry_Int_Tables_number 87
_symmetry_space_group_name_Hall '-I 4'
_cell_length_a 8.0187
_cell_length_b 8.0187
_cell_length_c 5.0681
_cell_angle_alpha 90.00
_cell_angle_beta 90.00
_cell_angle_gamma 90.00
loop_
_atom_site_label
_atom_site_fract_x
_atom_site_fract_y
_atom_site_fract_z
Pm1 0.1004 0.3013 0.0000
Pa1 0.0000 0.0000 0.5000
N1 0.0000 0.0000 0.0000
N2 0.0916 0.2770 0.5000
```

=====

Structure and computed XRD peak list of Pm2PaN3 (DFT lattice parameters and positions (PBE); Cu Ka).
Lines closer than 0.1° are merged.

Largest 6 diffraction maxima, in order of rising 2θ, 2θ = 10–90°:
h k l, d/Å, I/Imax
2 2 0, 2.915, 100
2 0 6, 2.525, 69
2 4 6, 1.786, 40
4 2 6, 1.523, 46
6 2 0, 1.159, 10
2 8 6, 1.129, 18

Atomic structure:
```
data_Pm2PaN3
_symmetry_space_group_name_H-M 'F d d d'
_symmetry_Int_Tables_number 70
_cell_length_a 7.1495
_cell_length_b 10.1002
_cell_length_c 21.3978
_cell_angle_alpha 90.00
_cell_angle_beta 90.00
_cell_angle_gamma 90.00
loop_
_symmetry_equiv_pos_as_xyz
'x,y,z'
'-x,-y,-z'
'-x+1/4,-y+1/4,z'
'x+1/4,y+1/4,-z'
'x,-y+1/4,-z+1/4'
'-x,y+1/4,z+1/4'
'-x+1/4,y,-z+1/4'
'x+1/4,-y,z+1/4'
'x,y+1/2,z+1/2'
'-x,-y+1/2,-z+1/2'
'-x+1/4,-y+3/4,z+1/2'
'x+1/4,y+3/4,-z+1/2'
'x,-y+3/4,-z+3/4'
'-x,y+3/4,z+3/4'
'-x+1/4,y+1/2,-z+3/4'
'x+1/4,-y+1/2,z+3/4'
'x+1/2,y,z+1/2'
'-x+1/2,-y,-z+1/2'
'-x+3/4,-y+1/4,z+1/2'
'x+3/4,y+1/4,-z+1/2'
'x+1/2,-y+1/4,-z+3/4'
'-x+1/2,y+1/4,z+3/4'
'-x+3/4,y,-z+3/4'
'x+3/4,-y,z+3/4'
'x+1/2,y+1/2,z'
'-x+1/2,-y+1/2,-z'
'-x+3/4,-y+3/4,z'
'x+3/4,y+3/4,-z'
'x+1/2,-y+3/4,-z+1/4'
'-x+1/2,y+3/4,z+1/4'
'-x+3/4,y+1/2,-z+1/4'
'x+3/4,-y+1/2,z+1/4'
loop_
_atom_site_label
_atom_site_fract_x
_atom_site_fract_y
_atom_site_fract_z
Pm1 0.1250 0.1250 0.0426
Pm2 0.1250 0.1250 0.3735
Pa1 0.1250 0.1250 0.5414
N1 0.0974 0.3750 0.8750
N2 0.1122 0.3614 0.7133
```

=====

Structure and computed XRD peak list of Pm4PaN4 (DFT lattice parameters and positions (PBE); Cu Ka).
Lines closer than 0.1° are merged.

Largest 6 diffraction maxima, in order of rising 2θ, 2θ = 10–90°:
h k l, d/Å, I/Imax
2 0 -3, 2.953, 98
1 1 1, 2.934, 100
3 1 -2, 2.553, 88
2 0 2, 2.540, 43
1 1 -4, 1.801, 60
2 2 -3, 1.535, 44

Atomic structure:
```
data_Pm4PaN4
_symmetry_space_group_name_H-M 'C 1 2/m 1'
_symmetry_Int_Tables_number 12
_cell_length_a 12.0087
_cell_length_b 3.5928
_cell_length_c 8.8605
_cell_angle_alpha 90.00
_cell_angle_beta 119.98
_cell_angle_gamma 90.00
loop_
_symmetry_equiv_pos_as_xyz
'x,y,z'
'-x,-y,-z'
'-x,y,-z'
'x,-y,z'
'x+1/2,y+1/2,z'
'-x+1/2,-y+1/2,-z'
'-x+1/2,y+1/2,-z'
'x+1/2,-y+1/2,z'
loop_
_atom_site_label
_atom_site_fract_x
_atom_site_fract_y
_atom_site_fract_z
Pm1 0.1091 0.0000 0.3940
Pm2 0.2036 0.5000 0.8081
Pa1 0.0000 0.5000 0.0000
N1 0.0889 0.0000 0.9130
N2 0.1908 0.5000 0.2849
```

=====

Structure and computed XRD peak list of Pm3PuPa3N8 (DFT lattice parameters and positions (PBE); Cu Ka).
Lines closer than 0.1° are merged.

Largest 6 diffraction maxima, in order of rising 2θ, 2θ = 10–90°:
h k l, d/Å, I/Imax
2 0 2, 2.889, 100
0 0 6, 2.869, 34
0 2 4, 2.498, 93
2 2 0, 1.771, 33
2 0 8, 1.762, 31
2 2 6, 1.507, 31

Atomic structure:
```
data_Pm3PuPa3N8
_symmetry_space_group_name_H-M 'R -3 m'
_symmetry_Int_Tables_number 166
_symmetry_space_group_name_Hall '-R 3 2"'
_cell_length_a 7.0830
_cell_length_b 7.0830
_cell_length_c 17.2165
_cell_angle_alpha 90.00
_cell_angle_beta 90.00
_cell_angle_gamma 120.00
loop_
_atom_site_label
_atom_site_fract_x
_atom_site_fract_y
_atom_site_fract_z
Pm1 0.0000 0.5000 0.0000
Pu1 0.0000 0.0000 0.5000
Pa1 0.0000 0.5000 0.5000
N1 0.0000 0.0000 0.2409
N2 0.0061 0.5030 0.2335
```

=====

Structure and computed XRD peak list of PmPaSbN2 (DFT lattice parameters and positions (PBE); Cu Ka).
Lines closer than 0.1° are merged.

Largest 6 diffraction maxima, in order of rising 2θ, 2θ = 10–90°:
h k l, d/Å, I/Imax
1 0 3, 2.973, 100
1 1 0, 2.804, 38
2 0 0, 1.983, 18
1 1 6, 1.753, 23
2 1 3, 1.650, 36
2 2 0, 1.401, 16

Atomic structure:
```
data_PmPaSbN2
_symmetry_space_group_name_H-M 'I 4 m m'
_symmetry_Int_Tables_number 107
_symmetry_space_group_name_Hall 'I 4 -2'
_cell_length_a 3.9660
_cell_length_b 3.9660
_cell_length_c 13.4749
_cell_angle_alpha 90.00
_cell_angle_beta 90.00
_cell_angle_gamma 90.00
loop_
_atom_site_label
_atom_site_fract_x
_atom_site_fract_y
_atom_site_fract_z
Pm1 0.0000 0.0000 0.0000
Pa1 0.0000 0.0000 0.3337
Sb1 0.0000 0.0000 0.6668
N1 0.0000 0.5000 0.4032
```

=====

Structure and computed XRD peak list of Pm2PaSbN5 (DFT lattice parameters and positions (PBE); Cu Ka).
Lines closer than 0.1° are merged.

Largest 6 diffraction maxima, in order of rising 2θ, 2θ = 10–90°:
h k l, d/Å, I/Imax
0 2 3, 3.188, 49
0 4 2, 2.987, 100
1 1 2, 2.913, 50
1 3 0, 2.873, 72
1 3 1, 2.774, 43
1 1 3, 2.486, 84

Atomic structure:
```
data_Pm2PaSbN5
_symmetry_space_group_name_H-M 'C m c 21'
_symmetry_Int_Tables_number 36
_cell_length_a 3.5841
_cell_length_b 14.4205
_cell_length_c 10.6648
_cell_angle_alpha 90.00
_cell_angle_beta 90.00
_cell_angle_gamma 90.00
loop_
_symmetry_equiv_pos_as_xyz
'x,y,z'
'-x,-y,z+1/2'
'-x,y,z'
'x,-y,z+1/2'
'x+1/2,y+1/2,z'
'-x+1/2,-y+1/2,z+1/2'
'-x+1/2,y+1/2,z'
'x+1/2,-y+1/2,z+1/2'
loop_
_atom_site_label
_atom_site_fract_x
_atom_site_fract_y
_atom_site_fract_z
Pm1 0.0000 0.1140 0.0000
Pm2 0.0000 0.1336 0.5888
Pa1 0.0000 0.2168 0.3068
Sb1 0.0000 0.4855 0.7750
N1 0.0000 0.0526 0.3609
N2 0.0000 0.2819 0.9437
N3 0.0000 0.3010 0.6727
N4 0.0000 0.3712 0.3076
N5 0.0000 0.4966 0.0844
```

=====

Structure and computed XRD peak list of PrPaRhN4 (DFT lattice parameters and positions (PBE); Cu Ka).
Lines closer than 0.1° are merged.

Largest 6 diffraction maxima, in order of rising 2θ, 2θ = 10–90°:
h k l, d/Å, I/Imax
1 0 1, 3.726, 20
1 0 3, 2.821, 100
1 1 0, 2.767, 64
1 1 4, 2.050, 17
2 0 0, 1.956, 29
2 1 3, 1.608, 39

Atomic structure:
```
data_PrPaRhN4
_symmetry_space_group_name_H-M 'I 4 m m'
_symmetry_Int_Tables_number 107
_symmetry_space_group_name_Hall 'I 4 -2'
_cell_length_a 3.9130
_cell_length_b 3.9130
_cell_length_c 12.2095
_cell_angle_alpha 90.00
_cell_angle_beta 90.00
_cell_angle_gamma 90.00
loop_
_atom_site_label
_atom_site_fract_x
_atom_site_fract_y
_atom_site_fract_z
Pr1 0.0000 0.0000 0.0000
Pa1 0.0000 0.0000 0.7171
Rh1 0.0000 0.0000 0.3576
N1 0.0000 0.0000 0.1849
N2 0.0000 0.0000 0.5407
N3 0.0000 0.5000 0.3330
```

=====

Structure and computed XRD peak list of Pr2PaS2N2 (DFT lattice parameters and positions (PBE); Cu Ka).
Lines closer than 0.1° are merged.

Largest 6 diffraction maxima, in order of rising 2θ, 2θ = 10–90°:
h k l, d/Å, I/Imax
0 0 2, 7.631, 38
1 0 3, 3.303, 100
1 1 0, 3.071, 84
1 0 5, 2.497, 58
2 0 0, 2.172, 38
2 1 3, 1.815, 39

Atomic structure:
```
data_Pr2PaS2N2
_symmetry_space_group_name_H-M 'I 4/m m m'
_symmetry_Int_Tables_number 139
_symmetry_space_group_name_Hall '-I 4 2'
_cell_length_a 4.3432
_cell_length_b 4.3432
_cell_length_c 15.2628
_cell_angle_alpha 90.00
_cell_angle_beta 90.00
_cell_angle_gamma 90.00
loop_
_atom_site_label
_atom_site_fract_x
_atom_site_fract_y
_atom_site_fract_z
Pr1 0.0000 0.0000 0.1326
Pa1 0.0000 0.0000 0.5000
S1 0.0000 0.0000 0.3202
N1 0.0000 0.5000 0.0000
```

=====

Structure and computed XRD peak list of PrScPa2N4 (DFT lattice parameters and positions (PBE); Cu Ka).
Lines closer than 0.1° are merged.

Largest 6 diffraction maxima, in order of rising 2θ, 2θ = 10–90°:
h k l, d/Å, I/Imax
0 1 1, 5.706, 30
2 1 1, 2.976, 19
2 0 2, 2.850, 100
2 2 0, 2.468, 71
2 2 4, 1.746, 33
2 0 6, 1.490, 30

Atomic structure:
```
data_PrScPa2N4
_symmetry_space_group_name_H-M 'I m m a'
_symmetry_Int_Tables_number 74
_symmetry_space_group_name_Hall '-I 2b 2'
_cell_length_a 6.9654
_cell_length_b 6.9965
_cell_length_c 9.8768
_cell_angle_alpha 90.00
_cell_angle_beta 90.00
_cell_angle_gamma 90.00
loop_
_atom_site_label
_atom_site_fract_x
_atom_site_fract_y
_atom_site_fract_z
Pr1 0.0000 0.0000 0.0000
Sc1 0.2500 0.2500 0.2500
Pa1 0.0000 0.0000 0.5000
Pa2 0.2500 0.2500 0.7500
N1 0.0000 0.0027 0.2611
N2 0.2262 0.2500 0.4984
```

=====

Structure and computed XRD peak list of PrPaW2N6 (DFT lattice parameters and positions (PBE); Cu Ka).
Lines closer than 0.1° are merged.

Largest 6 diffraction maxima, in order of rising 2θ, 2θ = 10–90°:
h k l, d/Å, I/Imax
2 2 -1, 3.388, 100
3 1 -1, 3.307, 23
3 1 0, 3.226, 23
0 0 2, 3.004, 56
2 2 1, 2.771, 50
2 2 -3, 1.940, 28

Atomic structure:
```
data_PrPaW2N6
_symmetry_space_group_name_H-M 'C 1 2/c 1'
_symmetry_Int_Tables_number 15
_cell_length_a 10.8920
_cell_length_b 9.6400
_cell_length_c 6.3709
_cell_angle_alpha 90.00
_cell_angle_beta 109.43
_cell_angle_gamma 90.00
loop_
_symmetry_equiv_pos_as_xyz
'x,y,z'
'-x,-y,-z'
'-x,y,-z+1/2'
'x,-y,z+1/2'
'x+1/2,y+1/2,z'
'-x+1/2,-y+1/2,-z'
'-x+1/2,y+1/2,-z+1/2'
'x+1/2,-y+1/2,z+1/2'
loop_
_atom_site_label
_atom_site_fract_x
_atom_site_fract_y
_atom_site_fract_z
Pr1 0.0000 0.0926 0.2500
Pa1 0.0000 0.3084 0.7500
W1 0.2025 0.4103 0.2366
N1 0.1170 0.1220 0.6651
N2 0.1173 0.2500 0.1035
N3 0.1400 0.4793 0.4698
```

=====

Structure and computed XRD peak list of PrPa2ZnN5 (DFT lattice parameters and positions (PBE); Cu Ka).
Lines closer than 0.1° are merged.

Largest 6 diffraction maxima, in order of rising 2θ, 2θ = 10–90°:
h k l, d/Å, I/Imax
0 0 2, 5.662, 20
2 0 2, 2.856, 100
0 0 4, 2.831, 25
2 1 3, 2.326, 38
2 1 5, 1.797, 17
4 1 1, 1.586, 18

Atomic structure:
```
data_PrPa2ZnN5
_symmetry_space_group_name_H-M 'I 4/m c m'
_symmetry_Int_Tables_number 140
_symmetry_space_group_name_Hall '-I 4 2c'
_cell_length_a 6.6057
_cell_length_b 6.6057
_cell_length_c 11.3249
_cell_angle_alpha 90.00
_cell_angle_beta 90.00
_cell_angle_gamma 90.00
loop_
_atom_site_label
_atom_site_fract_x
_atom_site_fract_y
_atom_site_fract_z
Pr1 0.0000 0.0000 0.2500
Pa1 0.1731 0.3269 0.0000
Zn1 0.0000 0.5000 0.2500
N1 0.0000 0.0000 0.0000
N2 0.1582 0.3418 0.3694
```